# TmPa2P
Calculated powder diffraction line list, copper Kα. Input: a PBE-relaxed structure.
No peak broadening, texture or thermal motion is included.

Peak list (10 most intense, 15° ≤ 2θ ≤ 90°, by angle)
2θ = 26.4°, rel. 59.1, (0 0 9)
2θ = 30.3°, rel. 100.0, (1 0 1)
2θ = 30.8°, rel. 39.3, (0 1 2)
2θ = 33.7°, rel. 30.0, (0 1 5)
2θ = 38.6°, rel. 39.4, (0 1 8)
2θ = 42.7°, rel. 65.9, (1 0 10)
2θ = 44.9°, rel. 24.0, (0 1 11)
2θ = 53.6°, rel. 35.9, (1 1 0)
2θ = 60.8°, rel. 36.8, (1 1 9)
2θ = 66.5°, rel. 15.6, (1 0 19)

Structure:
a = 3.4178 Å, b = 3.4178 Å, c = 30.3354 Å
α = 90.00°, β = 90.00°, γ = 120.00°
Space group R-3m (No. 166, hexagonal axes)
Unique sites:
Tm (0.0000, 0.0000, 0.0000)
Pa (0.0000, 0.0000, 0.1043)
P (0.0000, 0.0000, 0.5000)

# Zr3Pa5P8
Calculated powder diffraction line list, copper Kα. Input: a PBE-relaxed structure.
No peak broadening, texture or thermal motion is included.

Peak list (10 most intense, 15° ≤ 2θ ≤ 90°, by angle)
2θ = 28.1°, rel. 71.3, (2 0 2)
2θ = 28.3°, rel. 23.4, (0 0 6)
2θ = 32.6°, rel. 100.0, (0 2 4)
2θ = 46.6°, rel. 36.8, (2 2 0)
2θ = 46.9°, rel. 36.1, (2 0 8)
2θ = 55.4°, rel. 23.1, (2 2 6)
2θ = 58.0°, rel. 19.2, (4 0 4)
2θ = 77.5°, rel. 16.7, (2 4 4)
2θ = 77.9°, rel. 16.4, (2 2 12)
2θ = 86.8°, rel. 12.9, (4 2 8)

Structure:
a = 7.7912 Å, b = 7.7912 Å, c = 18.9268 Å
α = 90.00°, β = 90.00°, γ = 120.00°
Space group R-3m (No. 166, hexagonal axes)
Unique sites:
Zr (0.0000, 0.5000, 0.0000)
Pa (0.0000, 0.0000, 0.0000)
Pa (0.0000, 0.0000, 0.5000)
Pa (0.0000, 0.5000, 0.5000)
P (0.0000, 0.0000, 0.2540)
P (0.0070, 0.5035, 0.2534)

# Zr3PaP4
Calculated powder diffraction line list, copper Kα. Input: a PBE-relaxed structure.
No peak broadening, texture or thermal motion is included.

Peak list (10 most intense, 15° ≤ 2θ ≤ 90°, by angle)
2θ = 28.6°, rel. 36.2, (0 2 1)
2θ = 28.9°, rel. 35.4, (2 2 0)
2θ = 33.3°, rel. 100.0, (2 0 1)
2θ = 47.4°, rel. 12.2, (0 0 2)
2θ = 47.8°, rel. 47.2, (2 4 1)
2θ = 48.2°, rel. 11.5, (4 0 0)
2θ = 56.5°, rel. 11.3, (2 2 2)
2θ = 57.0°, rel. 16.5, (4 2 1)
2θ = 59.2°, rel. 12.4, (0 4 2)
2θ = 59.9°, rel. 11.9, (4 4 0)

Structure:
a = 7.5559 Å, b = 10.7431 Å, c = 3.8360 Å
α = 90.00°, β = 90.00°, γ = 90.00°
Space group Cmmm (No. 65)
Unique sites:
Zr (0.0000, 0.0000, 0.0000)
Zr (0.2500, 0.2500, 0.5000)
Pa (0.0000, 0.5000, 0.0000)
P (0.0000, 0.2468, 0.0000)
P (0.2413, 0.0000, 0.5000)

# P5Pb3
Calculated powder diffraction line list, copper Kα. Input: a PBE-relaxed structure.
No peak broadening, texture or thermal motion is included.

Peak list (10 most intense, 15° ≤ 2θ ≤ 90°, by angle)
2θ = 19.5°, rel. 39.2, (0 1 -1)
2θ = 22.7°, rel. 100.0, (0 1 2)
2θ = 23.6°, rel. 61.5, (1 2 0)
2θ = 25.7°, rel. 62.3, (0 2 0)
2θ = 26.1°, rel. 99.5, (2 0 0)
2θ = 27.8°, rel. 84.6, (2 1 2)
2θ = 29.5°, rel. 41.3, (2 1 -1)
2θ = 31.3°, rel. 55.4, (1 1 -2)
2θ = 33.2°, rel. 33.3, (1 -1 2)
2θ = 34.5°, rel. 57.6, (1 3 2)

Structure:
a = 7.7929 Å, b = 8.1954 Å, c = 8.5054 Å
α = 67.58°, β = 73.56°, γ = 61.96°
Space group P1 (No. 1)
Unique sites:
P (0.0000, 0.0000, 0.0000)
P (0.0037, 0.0112, 0.5669)
P (0.0273, 0.8238, 0.8402)
P (0.2560, 0.3714, 0.2687)
P (0.2947, 0.8295, 0.6624)
P (0.3001, 0.9308, 0.0356)
P (0.4682, 0.5591, 0.5788)
P (0.5235, 0.3032, 0.8055)
P (0.5614, 0.1995, 0.3131)
P (0.7243, 0.6320, 0.5247)
Pb (0.0629, 0.3029, 0.5975)
Pb (0.1512, 0.7245, 0.3318)
Pb (0.1640, 0.3310, 0.9950)
Pb (0.5989, 0.9661, 0.6814)
Pb (0.6659, 0.8914, 0.1954)
Pb (0.6837, 0.4034, 0.9915)

# PPd5Pb2
Calculated powder diffraction line list, copper Kα. Input: a PBE-relaxed structure.
No peak broadening, texture or thermal motion is included.

Peak list (10 most intense, 15° ≤ 2θ ≤ 90°, by angle)
2θ = 30.7°, rel. 37.7, (2 1 2)
2θ = 34.1°, rel. 79.1, (1 2 2)
2θ = 35.3°, rel. 66.9, (3 0 1)
2θ = 37.5°, rel. 92.0, (2 0 4)
2θ = 38.0°, rel. 75.4, (1 2 3)
2θ = 38.7°, rel. 100.0, (1 0 5)
2θ = 39.7°, rel. 90.6, (2 2 2)
2θ = 42.9°, rel. 33.9, (1 2 4)
2θ = 43.1°, rel. 46.4, (2 2 3)
2θ = 71.8°, rel. 33.8, (3 2 7)

Structure:
a = 7.7915 Å, b = 6.2915 Å, c = 12.1947 Å
α = 90.00°, β = 90.00°, γ = 90.00°
Space group Pnma (No. 62)
Unique sites:
P (0.1915, 0.2500, 0.0967)
Pd (0.0000, 0.0000, 0.0000)
Pd (0.0336, 0.7500, 0.7844)
Pd (0.1165, 0.0261, 0.6099)
Pd (0.2124, 0.7500, 0.4127)
Pb (0.0515, 0.7500, 0.2039)
Pb (0.1781, 0.2500, 0.4113)

# Sn2P2Pd7Pb
Calculated powder diffraction line list, copper Kα. Input: a PBE-relaxed structure.
No peak broadening, texture or thermal motion is included.

Peak list (10 most intense, 15° ≤ 2θ ≤ 90°, by angle)
2θ = 32.1°, rel. 39.4, (1 1 3)
2θ = 34.2°, rel. 85.1, (2 0 -3)
2θ = 34.4°, rel. 57.5, (0 2 2)
2θ = 35.5°, rel. 51.4, (2 0 2)
2θ = 38.0°, rel. 95.5, (0 2 3)
2θ = 40.0°, rel. 34.9, (2 0 3)
2θ = 43.3°, rel. 30.3, (0 0 6)
2θ = 43.7°, rel. 100.0, (2 2 -1)
2θ = 43.9°, rel. 32.1, (2 2 0)
2θ = 75.9°, rel. 33.2, (0 2 9)

Structure:
a = 6.0031 Å, b = 5.7386 Å, c = 12.7056 Å
α = 90.00°, β = 99.15°, γ = 90.00°
Space group C2/m (No. 12)
Unique sites:
Sn (0.0879, 0.0000, 0.3497)
P (0.0846, 0.5000, 0.2652)
Pd (0.0000, 0.5000, 0.0000)
Pd (0.1951, 0.2492, 0.8299)
Pd (0.1973, 0.5000, 0.4504)
Pb (0.0000, 0.0000, 0.0000)

# P2Pt5Pb2
Calculated powder diffraction line list, copper Kα. Input: a PBE-relaxed structure.
No peak broadening, texture or thermal motion is included.

Peak list (10 most intense, 15° ≤ 2θ ≤ 90°, by angle)
2θ = 21.2°, rel. 92.6, (0 0 2)
2θ = 25.3°, rel. 61.8, (1 1 -1)
2θ = 30.9°, rel. 71.6, (1 1 -2)
2θ = 31.2°, rel. 72.2, (4 0 0)
2θ = 32.0°, rel. 61.1, (0 0 3)
2θ = 32.4°, rel. 65.5, (3 1 0)
2θ = 35.4°, rel. 92.9, (3 1 1)
2θ = 36.6°, rel. 96.9, (3 1 -2)
2θ = 45.3°, rel. 61.8, (0 2 0)
2θ = 49.1°, rel. 100.0, (3 1 3)

Structure:
a = 11.6554 Å, b = 4.0002 Å, c = 8.5164 Å
α = 90.00°, β = 99.90°, γ = 90.00°
Space group C2/m (No. 12)
Unique sites:
P (0.1466, 0.0000, 0.3484)
Pt (0.0000, 0.0000, 0.5000)
Pt (0.1099, 0.0000, 0.0832)
Pt (0.1640, 0.5000, 0.5006)
Pb (0.1318, 0.5000, 0.8569)

# P2PtPb
Calculated powder diffraction line list, copper Kα. Input: a PBE-relaxed structure.
No peak broadening, texture or thermal motion is included.

Peak list (10 most intense, 15° ≤ 2θ ≤ 90°, by angle)
2θ = 23.3°, rel. 70.0, (0 1 0)
2θ = 24.2°, rel. 69.3, (1 0 -1)
2θ = 30.4°, rel. 64.0, (1 0 1)
2θ = 33.8°, rel. 100.0, (1 1 -1)
2θ = 36.5°, rel. 31.9, (0 0 2)
2θ = 38.6°, rel. 45.3, (1 1 1)
2θ = 43.8°, rel. 40.1, (0 1 2)
2θ = 47.6°, rel. 20.4, (0 2 0)
2θ = 48.3°, rel. 38.9, (2 1 0)
2θ = 57.5°, rel. 21.4, (1 2 1)

Structure:
a = 4.4372 Å, b = 3.8203 Å, c = 5.0421 Å
α = 90.00°, β = 102.71°, γ = 90.00°
Space group P2/m (No. 10)
Unique sites:
P (0.2343, 0.0000, 0.1292)
Pt (0.5000, 0.5000, 0.0000)
Pb (0.0000, 0.5000, 0.5000)

# P2Pt9Pb3
Calculated powder diffraction line list, copper Kα. Input: a PBE-relaxed structure.
No peak broadening, texture or thermal motion is included.

Peak list (10 most intense, 15° ≤ 2θ ≤ 90°, by angle)
2θ = 26.8°, rel. 100.0, (0 0 6)
2θ = 37.0°, rel. 20.0, (2 0 1)
2θ = 37.9°, rel. 94.9, (2 0 2)
2θ = 39.2°, rel. 91.3, (2 0 3)
2θ = 41.1°, rel. 49.0, (2 0 4)
2θ = 43.4°, rel. 39.0, (2 0 5)
2θ = 52.4°, rel. 40.9, (2 0 8)
2θ = 55.9°, rel. 15.6, (2 0 9)
2θ = 66.2°, rel. 35.3, (2 2 0)
2θ = 72.8°, rel. 36.7, (2 2 6)

Structure:
a = 5.6474 Å, b = 5.6474 Å, c = 19.9779 Å
α = 90.00°, β = 90.00°, γ = 120.00°
Space group P6_3/mmc (No. 194)
Unique sites:
P (0.3333, 0.6667, 0.1608)
Pt (0.0090, 0.5045, 0.7500)
Pt (0.1611, 0.3222, 0.0814)
Pb (0.0000, 0.0000, 0.2500)
Pb (0.3333, 0.6667, 0.5489)

# SmP2Pt7Pb2
Calculated powder diffraction line list, copper Kα. Input: a PBE-relaxed structure.
No peak broadening, texture or thermal motion is included.

Peak list (10 most intense, 15° ≤ 2θ ≤ 90°, by angle)
2θ = 23.5°, rel. 29.4, (0 0 8)
2θ = 29.4°, rel. 27.2, (0 0 10)
2θ = 32.1°, rel. 52.7, (1 1 2)
2θ = 33.8°, rel. 48.1, (1 1 4)
2θ = 36.3°, rel. 100.0, (1 1 6)
2θ = 39.7°, rel. 27.8, (1 0 11)
2θ = 43.7°, rel. 44.4, (1 1 10)
2θ = 45.3°, rel. 69.9, (2 0 0)
2θ = 65.9°, rel. 23.1, (2 2 0)
2θ = 77.7°, rel. 22.7, (3 1 6)

Structure:
a = 4.0074 Å, b = 4.0074 Å, c = 30.3479 Å
α = 90.00°, β = 90.00°, γ = 90.00°
Space group I4/mmm (No. 139)
Unique sites:
Sm (0.0000, 0.0000, 0.0000)
P (0.0000, 0.0000, 0.3836)
Pt (0.0000, 0.0000, 0.3087)
Pt (0.0000, 0.0000, 0.5000)
Pt (0.0000, 0.5000, 0.0741)
Pb (0.0000, 0.0000, 0.2114)

# SrP2Pt7Pb2
Calculated powder diffraction line list, copper Kα. Input: a PBE-relaxed structure.
No peak broadening, texture or thermal motion is included.

Peak list (10 most intense, 15° ≤ 2θ ≤ 90°, by angle)
2θ = 23.4°, rel. 31.0, (0 0 4)
2θ = 29.4°, rel. 34.1, (0 0 5)
2θ = 32.0°, rel. 62.3, (2 0 -2)
2θ = 33.6°, rel. 50.4, (2 0 -3)
2θ = 36.2°, rel. 100.0, (2 0 2)
2θ = 39.6°, rel. 25.9, (1 1 5)
2θ = 43.6°, rel. 31.9, (2 0 4)
2θ = 45.1°, rel. 70.0, (2 2 -1)
2θ = 48.1°, rel. 30.7, (2 0 -7)
2θ = 54.7°, rel. 24.4, (2 2 -6)

Structure:
a = 5.6915 Å, b = 5.6859 Å, c = 15.4687 Å
α = 90.00°, β = 100.50°, γ = 90.00°
Space group C2/m (No. 12)
Unique sites:
Sr (0.0000, 0.0000, 0.0000)
P (0.1160, 0.5000, 0.2338)
Pt (0.0000, 0.5000, 0.0000)
Pt (0.1732, 0.2499, 0.8461)
Pt (0.1904, 0.5000, 0.3837)
Pb (0.2100, 0.0000, 0.4222)

# Rb3P2PbS8
Calculated powder diffraction line list, copper Kα. Input: a PBE-relaxed structure.
No peak broadening, texture or thermal motion is included.

Peak list (10 most intense, 15° ≤ 2θ ≤ 90°, by angle)
2θ = 17.0°, rel. 28.3, (0 1 1)
2θ = 22.8°, rel. 100.0, (0 1 2)
2θ = 25.4°, rel. 89.2, (1 1 0)
2θ = 30.8°, rel. 26.7, (2 0 1)
2θ = 34.4°, rel. 71.3, (2 0 2)
2θ = 39.9°, rel. 21.5, (0 2 3)
2θ = 43.3°, rel. 35.8, (1 2 2)
2θ = 44.1°, rel. 23.3, (1 1 4)
2θ = 44.8°, rel. 19.0, (3 0 0)
2θ = 52.2°, rel. 26.0, (2 2 0)

Structure:
a = 7.0078 Å, b = 7.0078 Å, c = 10.1499 Å
α = 90.00°, β = 90.00°, γ = 120.00°
Space group P-3m1 (No. 164)
Unique sites:
Rb (0.0000, 0.0000, 0.0000)
Rb (0.3333, 0.6667, 0.6975)
P (0.3333, 0.6667, 0.2378)
Pb (0.0000, 0.0000, 0.5000)
S (0.1703, 0.3405, 0.2947)
S (0.3333, 0.6667, 0.0392)

# ReP2PbS
Calculated powder diffraction line list, copper Kα. Input: a PBE-relaxed structure.
No peak broadening, texture or thermal motion is included.

Peak list (10 most intense, 15° ≤ 2θ ≤ 90°, by angle)
2θ = 25.6°, rel. 100.0, (1 0 1)
2θ = 27.9°, rel. 41.6, (1 1 0)
2θ = 32.7°, rel. 25.2, (0 0 2)
2θ = 39.9°, rel. 29.3, (2 0 0)
2θ = 43.5°, rel. 25.9, (1 1 2)
2θ = 48.0°, rel. 38.6, (2 1 1)
2θ = 52.5°, rel. 26.3, (2 0 2)
2θ = 54.2°, rel. 13.5, (1 0 3)
2θ = 67.9°, rel. 12.3, (2 2 2)
2θ = 69.4°, rel. 13.2, (2 1 3)

Structure:
a = 4.5216 Å, b = 4.5216 Å, c = 5.4707 Å
α = 90.00°, β = 90.00°, γ = 90.00°
Space group P4/mmm (No. 123)
Unique sites:
Re (0.0000, 0.0000, 0.0000)
P (0.0000, 0.5000, 0.0000)
Pb (0.5000, 0.5000, 0.5000)
S (0.0000, 0.0000, 0.5000)